Calculated powder diffraction line list of Li9Mn2Co5O16 for copper Kα, from a PBE+U-relaxed structure.
No peak broadening, texture or thermal motion is included.

Cell and atoms:
```
Li9Mn2Co5O16
1.0
5.1979 -5.7221 0.0000
5.1979 5.7221 0.0000
-1.9358 0.0000 4.7906
Li Mn Co O
9 2 5 16
Direct
0.0004 0.9996 0.0000 Li
0.1205 0.3690 0.9908 Li
0.2403 0.2403 0.4840 Li
0.3670 0.1234 0.0055 Li
0.5025 0.0062 0.4903 Li
0.6310 0.8795 0.0092 Li
0.7597 0.7597 0.5160 Li
0.8766 0.6330 0.9945 Li
0.9938 0.4975 0.5097 Li
0.2447 0.7553 0.0000 Mn
0.4994 0.5006 0.0000 Mn
0.1186 0.8814 0.5000 Co
0.3735 0.6265 0.5000 Co
0.6260 0.3740 0.5000 Co
0.7530 0.2470 0.0000 Co
0.8731 0.1269 0.5000 Co
0.0142 0.7480 0.7624 O
0.1083 0.1156 0.7131 O
0.1431 0.6478 0.2530 O
0.2520 0.9858 0.2376 O
0.2588 0.5115 0.7721 O
0.3522 0.8569 0.7470 O
0.3750 0.3870 0.2780 O
0.4885 0.7412 0.2279 O
0.5157 0.2616 0.7687 O
0.6130 0.6250 0.7220 O
0.6366 0.1305 0.2742 O
0.7384 0.4843 0.2313 O
0.7624 0.0291 0.7437 O
0.8695 0.3634 0.7258 O
0.8844 0.8917 0.2869 O
0.9709 0.2376 0.2563 O
```

Principal peaks in the range 2θ from 10° to 80°, in order of rising 2θ:
| d_spacing | Rel. int. |
| --- | --- |
| 4.819 | 100 |
| 2.561 | 17 |
| 2.456 | 25 |
| 2.148 | 31 |
| 2.036 | 51 |
| 1.914 | 10 |
| 1.481 | 15 |
| 1.474 | 15 |

=====

Calculated powder diffraction line list of Co3As2H16O16 for copper Kα, from a PBE+U-relaxed structure.
No peak broadening, texture or thermal motion is included.

Cell and atoms:
```
Co3As2H16O16
1.0
5.1547 -6.7458 0.0000
5.1547 6.7458 0.0000
-1.1977 0.0000 4.6161
Co As H O
3 2 16 16
Direct
0.0000 0.0000 0.0000 Co
0.3837 0.6163 0.0000 Co
0.6163 0.3837 0.0000 Co
0.3158 0.3158 0.3778 As
0.6842 0.6842 0.6222 As
0.0412 0.1966 0.6446 H
0.0554 0.3085 0.9549 H
0.1725 0.5745 0.5136 H
0.1740 0.7446 0.7172 H
0.1966 0.0412 0.6446 H
0.2554 0.8260 0.2828 H
0.3085 0.0554 0.9549 H
0.4255 0.8275 0.4864 H
0.5745 0.1725 0.5136 H
0.6915 0.9446 0.0451 H
0.7446 0.1740 0.7172 H
0.8034 0.9588 0.3554 H
0.8260 0.2554 0.2828 H
0.8275 0.4255 0.4864 H
0.9446 0.6915 0.0451 H
0.9588 0.8034 0.3554 H
0.0167 0.7949 0.1856 O
0.1489 0.1489 0.3975 O
0.1730 0.6279 0.7147 O
0.2051 0.9833 0.8144 O
0.2285 0.4483 0.2078 O
0.3721 0.8270 0.2853 O
0.4121 0.4121 0.7284 O
0.4483 0.2285 0.2078 O
0.5517 0.7715 0.7922 O
0.5879 0.5879 0.2716 O
0.6279 0.1730 0.7147 O
0.7715 0.5517 0.7922 O
0.7949 0.0167 0.1856 O
0.8270 0.3721 0.2853 O
0.8511 0.8511 0.6025 O
0.9833 0.2051 0.8144 O
```

Principal peaks in the range 2θ from 10° to 80°, in order of rising 2θ:
| d_spacing | Rel. int. |
| --- | --- |
| 8.023 | 34 |
| 6.746 | 100 |
| 3.235 | 44 |
| 3.030 | 28 |
| 3.014 | 22 |
| 2.764 | 28 |
| 2.723 | 24 |
| 2.469 | 19 |

=====

Calculated powder diffraction line list of Mn4O7F for copper Kα, from a PBE+U-relaxed structure.
No peak broadening, texture or thermal motion is included.

Cell and atoms:
```
Mn4O7F
1.0
4.4835 0.0000 0.0000
0.0067 4.9751 0.0000
0.1372 0.0034 5.5188
Mn O F
4 7 1
Direct
0.0000 0.0000 0.0000 Mn
0.0014 0.4823 0.6921 Mn
0.5066 0.9802 0.4999 Mn
0.5195 0.4783 0.2182 Mn
0.2426 0.1608 0.7425 O
0.2785 0.1561 0.2435 O
0.2785 0.6537 0.4663 O
0.7361 0.3069 0.4641 O
0.7470 0.8134 0.2437 O
0.7775 0.8156 0.7427 O
0.7778 0.3188 0.9690 O
0.2518 0.6628 0.9762 F
```

Principal peaks in the range 2θ from 10° to 80°, in order of rising 2θ:
| d_spacing | Rel. int. |
| --- | --- |
| 3.522 | 63 |
| 3.438 | 57 |
| 2.875 | 98 |
| 2.828 | 100 |
| 2.413 | 46 |
| 1.665 | 48 |
| 1.660 | 41 |
| 1.624 | 41 |

=====

Calculated powder diffraction line list of Sr2NdFe3O9 for copper Kα, from a PBE+U-relaxed structure.
No peak broadening, texture or thermal motion is included.

Cell and atoms:
```
Sr2NdFe3O9
1.0
4.7866 -2.7888 0.0000
4.7866 2.7888 0.0000
-0.0051 0.0000 13.4906
Sr Nd Fe O
4 2 6 18
Direct
0.1642 0.1694 0.4167 Sr
0.1694 0.1642 0.9167 Sr
0.8306 0.8358 0.0833 Sr
0.8358 0.8306 0.5833 Sr
0.5003 0.4997 0.2500 Nd
0.4997 0.5003 0.7500 Nd
0.1661 0.1672 0.1659 Fe
0.1672 0.1661 0.6659 Fe
0.5000 0.5000 0.0000 Fe
0.5000 0.5000 0.5000 Fe
0.8328 0.8339 0.3341 Fe
0.8339 0.8328 0.8341 Fe
0.0343 0.5139 0.7440 O
0.0581 0.9419 0.2500 O
0.1550 0.6521 0.4207 O
0.1928 0.6734 0.9058 O
0.2945 0.3814 0.0886 O
0.3266 0.8072 0.5942 O
0.3479 0.8450 0.0793 O
0.3814 0.2945 0.5886 O
0.4861 0.9657 0.7560 O
0.5139 0.0343 0.2440 O
0.6186 0.7055 0.4114 O
0.6521 0.1550 0.9207 O
0.6734 0.1928 0.4058 O
0.7055 0.6186 0.9114 O
0.8072 0.3266 0.0942 O
0.8450 0.3479 0.5793 O
0.9419 0.0581 0.7500 O
0.9657 0.4861 0.2560 O
```

Principal peaks in the range 2θ from 10° to 80°, in order of rising 2θ:
| d_spacing | Rel. int. |
| --- | --- |
| 2.789 | 24 |
| 2.767 | 100 |
| 2.757 | 25 |
| 1.960 | 35 |
| 1.952 | 17 |
| 1.606 | 21 |
| 1.595 | 15 |
| 1.591 | 14 |

=====

Calculated powder diffraction line list of Li2V3CrO8 for copper Kα, from a PBE+U-relaxed structure.
No peak broadening, texture or thermal motion is included.

Cell and atoms:
```
Li2V3CrO8
1.0
2.9447 1.7001 4.9177
-2.9447 1.7001 4.9177
0.0000 -3.4003 4.9177
Li V Cr O
2 3 1 8
Direct
0.1245 0.1245 0.1245 Li
0.8755 0.8755 0.8755 Li
0.0000 0.5000 0.5000 V
0.5000 0.0000 0.5000 V
0.5000 0.5000 0.0000 V
0.5000 0.5000 0.5000 Cr
0.2593 0.2593 0.7154 O
0.2593 0.7154 0.2593 O
0.2610 0.2610 0.2610 O
0.2846 0.7407 0.7407 O
0.7154 0.2593 0.2593 O
0.7390 0.7390 0.7390 O
0.7407 0.2846 0.7407 O
0.7407 0.7407 0.2846 O
```

Principal peaks in the range 2θ from 10° to 80°, in order of rising 2θ:
| d_spacing | Rel. int. |
| --- | --- |
| 4.918 | 33 |
| 4.820 | 100 |
| 2.554 | 16 |
| 2.526 | 33 |
| 2.513 | 14 |
| 2.098 | 80 |
| 1.494 | 24 |
| 1.472 | 23 |

=====

Calculated powder diffraction line list of VPO5 for copper Kα, from a PBE+U-relaxed structure.
No peak broadening, texture or thermal motion is included.

Cell and atoms:
```
VPO5
1.0
5.1138 0.0000 0.0000
-2.5541 7.0225 0.0000
-0.0081 -3.2686 9.6652
V P O
4 4 20
Direct
0.0000 0.0000 0.0000 V
0.0108 0.4995 0.7684 V
0.4480 0.4995 0.2683 V
0.9594 0.9998 0.5001 V
0.3608 0.7772 0.5782 P
0.3768 0.7774 0.0782 P
0.6117 0.2978 0.4798 P
0.6448 0.2981 0.9798 P
0.0734 0.2955 0.7086 O
0.1811 0.2957 0.2083 O
0.1853 0.9128 0.5921 O
0.2045 0.9184 0.1097 O
0.2750 0.6239 0.9318 O
0.2860 0.6693 0.6866 O
0.2944 0.1858 0.4688 O
0.3085 0.6237 0.4318 O
0.3416 0.1488 0.9420 O
0.3427 0.6697 0.1867 O
0.6615 0.4209 0.3786 O
0.6745 0.9172 0.6100 O
0.6779 0.4502 0.1278 O
0.6882 0.9120 0.0923 O
0.7192 0.4215 0.8788 O
0.7314 0.4501 0.6278 O
0.7641 0.1476 0.4424 O
0.8485 0.1848 0.9687 O
0.8583 0.8106 0.3606 O
0.9122 0.8108 0.8605 O
```

Principal peaks in the range 2θ from 10° to 80°, in order of rising 2θ:
| d_spacing | Rel. int. |
| --- | --- |
| 4.833 | 33 |
| 4.689 | 30 |
| 4.490 | 48 |
| 4.097 | 29 |
| 3.424 | 85 |
| 3.350 | 81 |
| 3.131 | 100 |
| 1.566 | 28 |

=====

Copy entry 1 word for word.
Calculated powder diffraction line list of Li9Mn2Co5O16 for copper Kα, from a PBE+U-relaxed structure.
No peak broadening, texture or thermal motion is included.

Cell and atoms:
```
Li9Mn2Co5O16
1.0
5.1979 -5.7221 0.0000
5.1979 5.7221 0.0000
-1.9358 0.0000 4.7906
Li Mn Co O
9 2 5 16
Direct
0.0004 0.9996 0.0000 Li
0.1205 0.3690 0.9908 Li
0.2403 0.2403 0.4840 Li
0.3670 0.1234 0.0055 Li
0.5025 0.0062 0.4903 Li
0.6310 0.8795 0.0092 Li
0.7597 0.7597 0.5160 Li
0.8766 0.6330 0.9945 Li
0.9938 0.4975 0.5097 Li
0.2447 0.7553 0.0000 Mn
0.4994 0.5006 0.0000 Mn
0.1186 0.8814 0.5000 Co
0.3735 0.6265 0.5000 Co
0.6260 0.3740 0.5000 Co
0.7530 0.2470 0.0000 Co
0.8731 0.1269 0.5000 Co
0.0142 0.7480 0.7624 O
0.1083 0.1156 0.7131 O
0.1431 0.6478 0.2530 O
0.2520 0.9858 0.2376 O
0.2588 0.5115 0.7721 O
0.3522 0.8569 0.7470 O
0.3750 0.3870 0.2780 O
0.4885 0.7412 0.2279 O
0.5157 0.2616 0.7687 O
0.6130 0.6250 0.7220 O
0.6366 0.1305 0.2742 O
0.7384 0.4843 0.2313 O
0.7624 0.0291 0.7437 O
0.8695 0.3634 0.7258 O
0.8844 0.8917 0.2869 O
0.9709 0.2376 0.2563 O
```

Principal peaks in the range 2θ from 10° to 80°, in order of rising 2θ:
| d_spacing | Rel. int. |
| --- | --- |
| 4.819 | 100 |
| 2.561 | 17 |
| 2.456 | 25 |
| 2.148 | 31 |
| 2.036 | 51 |
| 1.914 | 10 |
| 1.481 | 15 |
| 1.474 | 15 |

=====

Q: Number 5 is which compound?
A: Li2V3CrO8